No. 1
This entry pairs a crystal structure of Tb6Tm2Hg with its theoretical X-ray powder pattern. Radiation: λ = 1.5418 Å (Cu Kα). Structure: a PBE-relaxed structure.

Structural model:
Cell lengths 9.7932, 9.7932, 3.5413 Å; angles 90.00, 90.00, 123.53 degrees
Positions (direct):
Tb 0.0144 0.3392 0.0000
Tb 0.2971 0.2971 0.5000
Tb 0.3392 0.0144 0.0000
Tb 0.6608 0.9856 0.0000
Tb 0.7029 0.7029 0.5000
Tb 0.9856 0.6608 0.0000
Tm 0.3182 0.6818 0.5000
Tm 0.6818 0.3182 0.5000
Hg 0.0000 0.0000 0.0000

Largest 12 diffraction maxima, by angle, 2θ = 10–90°:
27.45°, I = 56; 31.11°, I = 73; 32.92°, I = 100; 33.50°, I = 73; 37.68°, I = 38; 38.19°, I = 38; 51.63°, I = 18; 53.53°, I = 22; 56.29°, I = 19; 56.49°, I = 18; 61.50°, I = 18; 62.61°, I = 48


No. 2
This entry pairs a crystal structure of Dy6MgAl2 with its theoretical X-ray powder pattern. Radiation: λ = 1.5418 Å (Cu Kα). Structure: a PBE-relaxed structure.

Structural model:
Cell lengths 8.8255, 8.8255, 5.0166 Å; angles 106.42, 106.42, 49.12 degrees
Positions (direct):
Dy 0.0754 0.5852 0.3301
Dy 0.2356 0.7644 0.0000
Dy 0.4148 0.9246 0.6699
Dy 0.5852 0.0754 0.3301
Dy 0.7644 0.2356 0.0000
Dy 0.9246 0.4148 0.6699
Mg 0.5000 0.5000 0.5000
Al 0.1681 0.1681 0.1683
Al 0.8319 0.8319 0.8317

Largest 12 diffraction maxima, by angle, 2θ = 10–90°:
24.26°, I = 46; 24.93°, I = 87; 35.06°, I = 100; 35.29°, I = 25; 35.80°, I = 24; 43.29°, I = 20; 43.72°, I = 19; 51.15°, I = 17; 56.39°, I = 18; 57.38°, I = 26; 63.20°, I = 18; 63.85°, I = 18


No. 3
This entry pairs a crystal structure of SrCd2In6 with its theoretical X-ray powder pattern. Radiation: λ = 1.5418 Å (Cu Kα). Structure: a PBE-relaxed structure.

Structural model:
Cell lengths 8.8545, 8.8545, 3.6519 Å; angles 101.25, 101.25, 64.25 degrees
Positions (direct):
Sr 0.0000 0.0000 0.0000
Cd 0.3645 0.3645 0.8677
Cd 0.6355 0.6355 0.1323
In 0.0174 0.3521 0.6871
In 0.3272 0.6728 0.5000
In 0.3521 0.0174 0.6871
In 0.6479 0.9826 0.3129
In 0.6728 0.3272 0.5000
In 0.9826 0.6479 0.3129

Largest 12 diffraction maxima, by angle, 2θ = 10–90°:
28.80°, I = 25; 29.08°, I = 25; 31.54°, I = 29; 31.67°, I = 29; 33.99°, I = 100; 35.85°, I = 18; 36.33°, I = 21; 36.96°, I = 26; 39.76°, I = 29; 49.95°, I = 21; 62.03°, I = 17; 64.66°, I = 19